The following is a calculated powder diffraction line list of Ba8Ir2S. It was derived from a DFT-relaxed cell (PBE, Alexandria), using CuKα.
Lines closer than 0.1° are merged.

Structure:
```
Ba8Ir2S
1.0
9.208 0.000 0.000
-4.604 7.974 0.000
0.000 0.000 7.715
Ba Ir S
8 2 1
Direct
0.165 0.331 0.237 Ba
0.165 0.835 0.237 Ba
0.331 0.165 0.763 Ba
0.333 0.667 0.715 Ba
0.667 0.333 0.285 Ba
0.669 0.835 0.237 Ba
0.835 0.165 0.763 Ba
0.835 0.669 0.763 Ba
0.333 0.667 0.086 Ir
0.667 0.333 0.914 Ir
0.000 0.000 0.000 S
```

Largest 10 diffraction maxima, low angle first, 2θ from 5° to 70°:
h k l  2θ/deg  d (Å)  I (rel.)
0 0 1  11.47  7.715  24
1 1 0  19.28  4.604  28
2 0 0  22.30  3.987  55
0 0 2  23.06  3.858  24
2 0 1  25.14  3.542  100
1 0 2  25.65  3.473  31
2 0 2  32.29  2.772  26
2 2 0  39.13  2.302  59
2 0 3  41.80  2.161  63
0 4 3  58.59  1.576  23